The following is a theoretical X-ray diffraction stick pattern of SmIn4Pt4. It was derived from a cell relaxed with GGA-PBE, using λ = 1.5418 Å (Cu Kα).
No peak broadening, texture or thermal motion is included.

Crystal structure
Unit cell a=8.909 b=8.909 c=5.386 alpha=90.00 beta=90.00 gamma=90.00
Fractional positions:
Sm: 0.250 0.250 0.250
Sm: 0.750 0.750 0.750
In: 0.094 0.643 0.153
In: 0.143 0.906 0.653
In: 0.357 0.594 0.653
In: 0.406 0.857 0.153
In: 0.594 0.143 0.847
In: 0.643 0.406 0.347
In: 0.857 0.094 0.347
In: 0.906 0.357 0.847
Pt: 0.041 0.613 0.657
Pt: 0.113 0.959 0.157
Pt: 0.387 0.541 0.157
Pt: 0.459 0.887 0.657
Pt: 0.541 0.113 0.343
Pt: 0.613 0.459 0.843
Pt: 0.887 0.041 0.843
Pt: 0.959 0.387 0.343

Most intense lines, 2θ from 10° to 90°, most intense first:
31.76°, intensity 100; 45.49°, intensity 64; 34.80°, intensity 41; 40.15°, intensity 28; 19.26°, intensity 26; 50.10°, intensity 24

The following is a theoretical X-ray diffraction stick pattern of Er4ScZn. It was derived from a cell relaxed with GGA-PBE, using λ = 1.5418 Å (Cu Kα).
No peak broadening, texture or thermal motion is included.

Crystal structure
Unit cell a=8.071 b=8.071 c=5.912 alpha=99.30 beta=99.30 gamma=115.92
Fractional positions:
Er: 0.083 0.710 0.942
Er: 0.195 0.381 0.650
Er: 0.290 0.917 0.558
Er: 0.381 0.195 0.150
Er: 0.619 0.805 0.850
Er: 0.710 0.083 0.442
Er: 0.805 0.619 0.350
Er: 0.917 0.290 0.058
Sc: 0.389 0.611 0.250
Sc: 0.611 0.389 0.750
Zn: 0.003 0.997 0.750
Zn: 0.997 0.003 0.250

Most intense lines, 2θ from 10° to 90°, most intense first:
33.48°, intensity 100; 32.58°, intensity 83; 36.24°, intensity 50; 34.57°, intensity 50; 30.98°, intensity 48; 25.41°, intensity 42

The following is a theoretical X-ray diffraction stick pattern of Li9Ti5Si2O16. It was derived from a cell relaxed with GGA-PBE, using λ = 1.5418 Å (Cu Kα).
No peak broadening, texture or thermal motion is included.

Crystal structure
Unit cell a=4.991 b=5.210 c=11.170 alpha=80.28 beta=85.81 gamma=80.43
Fractional positions:
Li: 0.000 0.000 0.000
Li: 0.243 0.417 0.061
Li: 0.247 0.939 0.560
Li: 0.249 0.170 0.310
Li: 0.257 0.688 0.823
Li: 0.743 0.312 0.177
Li: 0.751 0.830 0.690
Li: 0.753 0.061 0.440
Li: 0.757 0.583 0.939
Ti: 0.000 0.500 0.500
Ti: 0.001 0.257 0.751
Ti: 0.498 0.387 0.619
Ti: 0.502 0.613 0.381
Ti: 0.999 0.743 0.249
Si: 0.498 0.877 0.117
Si: 0.502 0.123 0.883
O: 0.122 0.593 0.661
O: 0.122 0.837 0.402
O: 0.164 0.049 0.154
O: 0.167 0.319 0.900
O: 0.375 0.275 0.467
O: 0.380 0.576 0.204
O: 0.382 0.053 0.740
O: 0.399 0.825 0.972
O: 0.601 0.175 0.028
O: 0.618 0.947 0.260
O: 0.620 0.424 0.796
O: 0.625 0.725 0.533
O: 0.833 0.681 0.100
O: 0.836 0.951 0.846
O: 0.878 0.163 0.598
O: 0.878 0.407 0.339

Most intense lines, 2θ from 10° to 90°, most intense first:
18.06°, intensity 100; 43.51°, intensity 32; 43.94°, intensity 32; 44.11°, intensity 31; 62.49°, intensity 17; 64.88°, intensity 15

The following is a theoretical X-ray diffraction stick pattern of Tb6Sm4Zr. It was derived from a cell relaxed with GGA-PBE, using λ = 1.5418 Å (Cu Kα).
No peak broadening, texture or thermal motion is included.

Crystal structure
Unit cell a=8.711 b=8.711 c=9.176 alpha=90.00 beta=90.00 gamma=90.00
Fractional positions:
Tb: 0.000 0.000 0.176
Tb: 0.000 0.000 0.824
Tb: 0.152 0.342 0.500
Tb: 0.158 0.348 0.000
Tb: 0.342 0.848 0.500
Tb: 0.348 0.842 0.000
Tb: 0.500 0.500 0.324
Tb: 0.500 0.500 0.676
Tb: 0.652 0.158 0.000
Tb: 0.658 0.152 0.500
Tb: 0.842 0.652 0.000
Tb: 0.848 0.658 0.500
Sm: 0.145 0.645 0.250
Sm: 0.145 0.645 0.750
Sm: 0.355 0.145 0.250
Sm: 0.355 0.145 0.750
Sm: 0.645 0.855 0.250
Sm: 0.645 0.855 0.750
Sm: 0.855 0.355 0.250
Sm: 0.855 0.355 0.750
Zr: 0.000 0.000 0.500
Zr: 0.500 0.500 0.000

Most intense lines, 2θ from 10° to 90°, most intense first:
30.09°, intensity 100; 32.50°, intensity 55; 60.71°, intensity 20; 51.87°, intensity 12; 65.58°, intensity 11; 47.37°, intensity 11

The following is a theoretical X-ray diffraction stick pattern of GdNpPt2. It was derived from a cell relaxed with GGA-PBE, using λ = 1.5418 Å (Cu Kα).
No peak broadening, texture or thermal motion is included.

Crystal structure
Unit cell a=5.006 b=5.006 c=3.454 alpha=90.00 beta=90.00 gamma=90.00
Fractional positions:
Gd: 0.000 0.000 0.000
Np: 0.500 0.500 0.000
Pt: 0.000 0.500 0.500
Pt: 0.500 0.000 0.500

Most intense lines, 2θ from 10° to 90°, most intense first:
36.34°, intensity 100; 35.88°, intensity 52; 64.79°, intensity 38; 51.65°, intensity 19; 65.69°, intensity 18; 77.18°, intensity 12

The following is a theoretical X-ray diffraction stick pattern of CsInGa. It was derived from a cell relaxed with GGA-PBE, using λ = 1.5418 Å (Cu Kα).
No peak broadening, texture or thermal motion is included.

Crystal structure
Unit cell a=4.642 b=5.138 c=19.145 alpha=90.00 beta=90.00 gamma=90.00
Fractional positions:
Cs: 0.244 0.067 0.168
Cs: 0.256 0.933 0.668
Cs: 0.744 0.433 0.832
Cs: 0.756 0.567 0.332
In: 0.243 0.903 0.925
In: 0.257 0.097 0.425
In: 0.743 0.597 0.075
In: 0.757 0.403 0.575
Ga: 0.243 0.411 0.996
Ga: 0.257 0.589 0.496
Ga: 0.743 0.089 0.004
Ga: 0.757 0.911 0.504

Most intense lines, 2θ from 10° to 90°, most intense first:
26.75°, intensity 100; 25.43°, intensity 75; 32.01°, intensity 52; 25.87°, intensity 47; 38.80°, intensity 35; 46.19°, intensity 34

> Which formula does entry 5 have?

GdNpPt2